[1]
Structure and theoretical powder XRD pattern of RbCuSnTe2S (a crystal structure in OQMD, relaxed with GGA-PBE; Cu Kα X-rays).
Lines closer than 0.1° are merged.

Crystal structure
abc: 8.0282 8.0282 11.3012
angles: 90.00 90.00 150.91
Positions (direct):
Rb1 0.2104 0.7896 0.7500
Rb2 0.7896 0.2104 0.2500
Cu1 0.0403 0.9597 0.2500
Cu2 0.9597 0.0403 0.7500
Sn1 0.5000 0.5000 0.0000
Sn2 0.5000 0.5000 0.5000
Te1 0.1350 0.8650 0.0532
Te2 0.1350 0.8650 0.4468
Te3 0.8650 0.1350 0.5532
Te4 0.8650 0.1350 0.9468
S1 0.4669 0.5331 0.2500
S2 0.5331 0.4669 0.7500

Most intense lines, 10° ≤ 2θ ≤ 90°, in order of rising 2θ:
11.39°, I = 35; 26.29°, I = 47; 28.04°, I = 100; 29.16°, I = 43; 31.67°, I = 38; 32.29°, I = 64; 33.06°, I = 59; 39.95°, I = 52; 44.96°, I = 32; 49.61°, I = 29

[2]
Structure and theoretical powder XRD pattern of YErB4 (a crystal structure in OQMD, relaxed with GGA-PBE; Cu Kα X-rays).
Lines closer than 0.1° are merged.

Crystal structure
abc: 3.2841 3.2841 7.6508
angles: 90.00 90.00 120.00
Positions (direct):
Y1 0.0000 0.0000 0.0000
Er1 0.0000 0.0000 0.5000
B1 0.3333 0.6667 0.2534
B2 0.3333 0.6667 0.7466
B3 0.6667 0.3333 0.2534
B4 0.6667 0.3333 0.7466

Most intense lines, 10° ≤ 2θ ≤ 90°, in order of rising 2θ:
11.57°, I = 23; 23.25°, I = 43; 31.45°, I = 72; 33.62°, I = 12; 39.48°, I = 100; 56.00°, I = 19; 58.12°, I = 26; 61.45°, I = 19; 70.67°, I = 17; 76.45°, I = 15

[3]
Structure and theoretical powder XRD pattern of Tl5Au4 (a crystal structure in OQMD, relaxed with GGA-PBE; Cu Kα X-rays).
Lines closer than 0.1° are merged.

Crystal structure
abc: 5.9732 5.9732 10.9442
angles: 109.91 109.91 39.36
Positions (direct):
Tl1 0.0000 0.0000 0.0000
Tl2 0.1108 0.1108 0.3909
Tl3 0.2496 0.2496 0.8233
Tl4 0.7504 0.7504 0.1767
Tl5 0.8892 0.8892 0.6091
Au1 0.3776 0.3776 0.3973
Au2 0.4543 0.4543 0.1763
Au3 0.5457 0.5457 0.8237
Au4 0.6224 0.6224 0.6027

Most intense lines, 10° ≤ 2θ ≤ 90°, in order of rising 2θ:
31.35°, I = 100; 32.65°, I = 74; 33.16°, I = 86; 36.98°, I = 41; 37.46°, I = 47; 38.42°, I = 37; 44.39°, I = 36; 45.07°, I = 45; 62.38°, I = 26; 65.11°, I = 23

Repeat the second record exactly.
Structure and theoretical powder XRD pattern of YErB4 (a crystal structure in OQMD, relaxed with GGA-PBE; Cu Kα X-rays).
Lines closer than 0.1° are merged.

Crystal structure
abc: 3.2841 3.2841 7.6508
angles: 90.00 90.00 120.00
Positions (direct):
Y1 0.0000 0.0000 0.0000
Er1 0.0000 0.0000 0.5000
B1 0.3333 0.6667 0.2534
B2 0.3333 0.6667 0.7466
B3 0.6667 0.3333 0.2534
B4 0.6667 0.3333 0.7466

Most intense lines, 10° ≤ 2θ ≤ 90°, in order of rising 2θ:
11.57°, I = 23; 23.25°, I = 43; 31.45°, I = 72; 33.62°, I = 12; 39.48°, I = 100; 56.00°, I = 19; 58.12°, I = 26; 61.45°, I = 19; 70.67°, I = 17; 76.45°, I = 15